This entry pairs a crystal structure of Ba6Si2Sn with its theoretical X-ray diffraction stick pattern. Radiation: CuKα. Structure: a PBE-relaxed structure.
Peak positions follow from Bragg's law for the DFT cell and can differ from measured ones.

Structural model:
abc: 9.9483 9.9483 9.9483
angles: 112.71 108.74 107.02
Positions (direct):
Ba (0.0195, 0.2251, 0.7944)
Ba (0.1826, 0.2849, 0.4675)
Ba (0.1826, 0.7151, 0.8977)
Ba (0.3219, 0.0231, 0.7013)
Ba (0.3219, 0.6206, 0.2987)
Ba (0.4307, 0.2251, 0.2056)
Ba (0.5693, 0.7749, 0.7944)
Ba (0.6782, 0.3794, 0.7013)
Ba (0.6782, 0.9769, 0.2987)
Ba (0.8174, 0.2849, 0.1023)
Ba (0.8174, 0.7151, 0.5325)
Ba (0.9805, 0.7749, 0.2056)
Si (0.1033, 0.6033, 0.5000)
Si (0.3911, 0.0000, 0.3911)
Si (0.6089, 0.0000, 0.6089)
Si (0.8967, 0.3967, 0.5000)
Sn (0.0000, 0.0000, 0.0000)
Sn (0.5000, 0.5000, 0.0000)

Most intense lines, 10 to 90 degrees two-theta, in order of rising 2θ:
| 2theta | d (Å) | I/Imax |
| --- | --- | --- |
| 23.83 | 3.734 | 15 |
| 24.23 | 3.673 | 21 |
| 25.43 | 3.503 | 26 |
| 26.93 | 3.310 | 100 |
| 28.76 | 3.104 | 36 |
| 28.88 | 3.091 | 29 |
| 29.22 | 3.056 | 21 |
| 32.49 | 2.756 | 19 |
| 44.93 | 2.017 | 18 |
| 46.31 | 1.961 | 15 |
| 48.42 | 1.880 | 20 |
| 50.07 | 1.822 | 22 |

This entry pairs a crystal structure of BaZn3Pt2 with its theoretical X-ray diffraction stick pattern. Radiation: CuKα. Structure: a PBE-relaxed structure.
Peak positions follow from Bragg's law for the DFT cell and can differ from measured ones.

Structural model:
abc: 8.0503 8.0503 8.1364
angles: 113.10 113.10 31.81
Positions (direct):
Ba (0.1555, 0.1555, 0.0870)
Ba (0.8445, 0.8445, 0.9130)
Zn (0.0105, 0.0105, 0.3414)
Zn (0.3165, 0.3165, 0.5508)
Zn (0.4033, 0.4033, 0.3268)
Zn (0.5967, 0.5967, 0.6732)
Zn (0.6835, 0.6835, 0.4492)
Zn (0.9895, 0.9895, 0.6586)
Pt (0.1680, 0.1680, 0.6272)
Pt (0.4825, 0.4825, 0.8245)
Pt (0.5175, 0.5175, 0.1755)
Pt (0.8320, 0.8320, 0.3728)

Most intense lines, 10 to 90 degrees two-theta, in order of rising 2θ:
| 2theta | d (Å) | I/Imax |
| --- | --- | --- |
| 23.00 | 3.867 | 39 |
| 26.80 | 3.326 | 33 |
| 27.70 | 3.221 | 100 |
| 30.08 | 2.971 | 95 |
| 31.45 | 2.845 | 87 |
| 37.21 | 2.417 | 69 |
| 38.20 | 2.356 | 50 |
| 40.91 | 2.206 | 80 |
| 42.70 | 2.117 | 52 |
| 46.32 | 1.960 | 43 |
| 49.34 | 1.847 | 31 |
| 52.49 | 1.743 | 41 |

This entry pairs a crystal structure of Rb3PuNp2Te6 with its theoretical X-ray diffraction stick pattern. Radiation: CuKα. Structure: a PBE-relaxed structure.
Peak positions follow from Bragg's law for the DFT cell and can differ from measured ones.

Structural model:
abc: 7.9136 7.9136 8.7380
angles: 90.00 90.00 120.00
Positions (direct):
Rb (0.0000, 0.0000, 0.0000)
Rb (0.3333, 0.6667, 0.0000)
Rb (0.6667, 0.3333, 0.0000)
Pu (0.0000, 0.0000, 0.5000)
Np (0.3333, 0.6667, 0.5000)
Np (0.6667, 0.3333, 0.5000)
Te (0.0000, 0.3363, 0.6985)
Te (0.0000, 0.6637, 0.3015)
Te (0.3363, 0.0000, 0.6985)
Te (0.3363, 0.3363, 0.3015)
Te (0.6637, 0.0000, 0.3015)
Te (0.6637, 0.6637, 0.6985)

Most intense lines, 10 to 90 degrees two-theta, in order of rising 2θ:
| 2theta | d (Å) | I/Imax |
| --- | --- | --- |
| 10.12 | 8.738 | 53 |
| 22.47 | 3.957 | 21 |
| 24.70 | 3.604 | 47 |
| 30.48 | 2.933 | 100 |
| 38.37 | 2.346 | 22 |
| 39.44 | 2.284 | 42 |
| 40.83 | 2.210 | 12 |
| 47.55 | 1.912 | 19 |
| 50.65 | 1.802 | 24 |
| 58.46 | 1.579 | 13 |
| 66.03 | 1.415 | 22 |
| 77.32 | 1.234 | 9 |

This entry pairs a crystal structure of Sr2CrCu with its theoretical X-ray diffraction stick pattern. Radiation: CuKα. Structure: a PBE-relaxed structure.
Peak positions follow from Bragg's law for the DFT cell and can differ from measured ones.

Structural model:
abc: 4.5293 6.3952 6.3952
angles: 42.65 90.00 90.00
Positions (direct):
Sr (0.0000, 0.0000, 0.0000)
Sr (0.5000, 0.2840, 0.2840)
Cr (0.0000, 0.6984, 0.6984)
Cu (0.5000, 0.5899, 0.5899)

Most intense lines, 10 to 90 degrees two-theta, in order of rising 2θ:
| 2theta | d (Å) | I/Imax |
| --- | --- | --- |
| 24.69 | 3.606 | 20 |
| 28.51 | 3.131 | 100 |
| 29.58 | 3.020 | 70 |
| 35.73 | 2.513 | 58 |
| 36.09 | 2.489 | 31 |
| 38.72 | 2.326 | 30 |
| 39.80 | 2.265 | 28 |
| 50.16 | 1.819 | 20 |
| 50.36 | 1.812 | 31 |
| 53.96 | 1.699 | 18 |
| 56.74 | 1.622 | 19 |
| 65.11 | 1.433 | 17 |

This entry pairs a crystal structure of PaSi2HgO8 with its theoretical X-ray diffraction stick pattern. Radiation: CuKα. Structure: a PBE-relaxed structure.
Peak positions follow from Bragg's law for the DFT cell and can differ from measured ones.

Structural model:
abc: 5.5537 5.5537 6.7294
angles: 90.00 90.00 120.00
Positions (direct):
Pa (0.0000, 0.0000, 0.0000)
Si (0.3333, 0.6667, 0.7041)
Si (0.6667, 0.3333, 0.2959)
Hg (0.0000, 0.0000, 0.5000)
O (0.1729, 0.3458, 0.7928)
O (0.1729, 0.8271, 0.7928)
O (0.3333, 0.6667, 0.4630)
O (0.3458, 0.1729, 0.2072)
O (0.6542, 0.8271, 0.7928)
O (0.6667, 0.3333, 0.5370)
O (0.8271, 0.1729, 0.2072)
O (0.8271, 0.6542, 0.2072)

Most intense lines, 10 to 90 degrees two-theta, in order of rising 2θ:
| 2theta | d (Å) | I/Imax |
| --- | --- | --- |
| 18.45 | 4.810 | 100 |
| 32.24 | 2.777 | 40 |
| 32.47 | 2.757 | 61 |
| 37.39 | 2.405 | 13 |
| 42.20 | 2.142 | 31 |
| 46.41 | 1.956 | 29 |
| 50.18 | 1.818 | 17 |
| 57.63 | 1.599 | 24 |
| 58.09 | 1.588 | 11 |
| 64.79 | 1.439 | 10 |
| 76.88 | 1.240 | 11 |
| 77.27 | 1.235 | 10 |

This entry pairs a crystal structure of Sm3Tm5Sc with its theoretical X-ray diffraction stick pattern. Radiation: CuKα. Structure: a PBE-relaxed structure.
Peak positions follow from Bragg's law for the DFT cell and can differ from measured ones.

Structural model:
abc: 8.1790 8.1790 11.4941
angles: 111.59 111.59 84.75
Positions (direct):
Sm (0.0000, 0.0000, 0.0000)
Sm (0.0000, 0.0000, 0.5000)
Sm (0.2191, 0.2191, 0.3440)
Sm (0.3218, 0.3218, 0.7587)
Sm (0.6782, 0.6782, 0.2413)
Sm (0.7809, 0.7809, 0.6560)
Tm (0.0789, 0.5672, 0.1890)
Tm (0.2849, 0.7151, 0.0000)
Tm (0.3227, 0.3227, 0.0412)
Tm (0.4328, 0.9211, 0.8110)
Tm (0.4949, 0.4949, 0.6297)
Tm (0.5051, 0.5051, 0.3703)
Tm (0.5672, 0.0789, 0.1890)
Tm (0.6773, 0.6773, 0.9588)
Tm (0.7151, 0.2849, 0.0000)
Tm (0.9211, 0.4328, 0.8110)
Sc (0.0655, 0.0655, 0.7881)
Sc (0.9345, 0.9345, 0.2119)

Most intense lines, 10 to 90 degrees two-theta, in order of rising 2θ:
| 2theta | d (Å) | I/Imax |
| --- | --- | --- |
| 16.08 | 5.513 | 41 |
| 18.39 | 4.824 | 43 |
| 28.00 | 3.187 | 58 |
| 28.61 | 3.120 | 89 |
| 29.58 | 3.019 | 36 |
| 30.29 | 2.951 | 48 |
| 31.21 | 2.866 | 32 |
| 31.44 | 2.846 | 33 |
| 32.48 | 2.756 | 100 |
| 33.12 | 2.705 | 54 |
| 34.81 | 2.577 | 76 |
| 35.26 | 2.545 | 45 |